# 1
# Mg3SeS2
Calculated X-ray powder pattern, a wavelength of 1.5418 Å. Input: a structure optimized by DFT (PBE).
Neutral-atom scattering factors, no anomalous dispersion.

The 10 most intense peaks (15 to 90 degrees two-theta), by angle:
| two_theta | d (Å) | I (rel.) |
| --- | --- | --- |
| 15.06 | 5.883 | 10 |
| 26.62 | 3.348 | 100 |
| 26.71 | 3.337 | 33 |
| 30.87 | 2.897 | 11 |
| 44.18 | 2.050 | 55 |
| 44.29 | 2.045 | 27 |
| 52.33 | 1.748 | 31 |
| 52.42 | 1.745 | 18 |
| 70.80 | 1.331 | 11 |
| 81.27 | 1.184 | 15 |

Atomic structure:
Lattice parameters (Å, degrees): 7.106 7.106 7.078 99.58 99.58 120.03
Positions (direct):
Mg: 0.083 0.917 0.500
Mg: 0.259 0.773 0.001
Mg: 0.429 0.609 0.514
Mg: 0.609 0.429 0.014
Mg: 0.773 0.259 0.501
Mg: 0.917 0.083 0.000
Se: 0.301 0.471 0.127
Se: 0.471 0.301 0.627
S: 0.133 0.638 0.629
S: 0.638 0.133 0.129
S: 0.804 0.970 0.629
S: 0.970 0.804 0.129



# 2
# Y3Fe2Ni7
Calculated X-ray powder pattern, a wavelength of 1.5418 Å. Input: a structure optimized by DFT (PBE).
Neutral-atom scattering factors, no anomalous dispersion.

The 10 most intense peaks (15 to 90 degrees two-theta), by angle:
| two_theta | d (Å) | I (rel.) |
| --- | --- | --- |
| 32.94 | 2.719 | 27 |
| 35.80 | 2.509 | 31 |
| 35.96 | 2.497 | 27 |
| 41.74 | 2.164 | 34 |
| 42.32 | 2.136 | 100 |
| 44.54 | 2.034 | 16 |
| 45.71 | 1.985 | 25 |
| 45.92 | 1.976 | 14 |
| 68.79 | 1.365 | 25 |
| 75.85 | 1.254 | 20 |

Atomic structure:
Lattice parameters (Å, degrees): 8.637 8.637 8.637 33.77 33.77 33.77
Positions (direct):
Y: 0.000 0.000 0.000
Y: 0.139 0.139 0.139
Y: 0.861 0.861 0.861
Fe: 0.333 0.333 0.333
Fe: 0.667 0.667 0.667
Ni: 0.082 0.580 0.580
Ni: 0.420 0.420 0.918
Ni: 0.420 0.918 0.420
Ni: 0.500 0.500 0.500
Ni: 0.580 0.082 0.580
Ni: 0.580 0.580 0.082
Ni: 0.918 0.420 0.420



# 3
# CuIr2Pb
Calculated X-ray powder pattern, a wavelength of 1.5418 Å. Input: a structure optimized by DFT (PBE).
Neutral-atom scattering factors, no anomalous dispersion.

The 10 most intense peaks (15 to 90 degrees two-theta), by angle:
| two_theta | d (Å) | I (rel.) |
| --- | --- | --- |
| 21.80 | 4.077 | 9 |
| 31.75 | 2.818 | 7 |
| 38.85 | 2.318 | 100 |
| 44.45 | 2.038 | 34 |
| 46.57 | 1.950 | 15 |
| 64.67 | 1.441 | 11 |
| 66.34 | 1.409 | 21 |
| 78.08 | 1.224 | 27 |
| 81.16 | 1.185 | 12 |
| 83.38 | 1.159 | 11 |

Atomic structure:
Lattice parameters (Å, degrees): 4.077 4.077 3.900 90.00 90.00 90.00
Positions (direct):
Cu: 0.000 0.000 0.000
Ir: 0.000 0.500 0.500
Ir: 0.500 0.000 0.500
Pb: 0.500 0.500 0.000



# 4
# Ca2Dy2Bi2S
Calculated X-ray powder pattern, a wavelength of 1.5418 Å. Input: a structure optimized by DFT (PBE).
Neutral-atom scattering factors, no anomalous dispersion.

The 10 most intense peaks (15 to 90 degrees two-theta), by angle:
| two_theta | d (Å) | I (rel.) |
| --- | --- | --- |
| 17.97 | 4.936 | 27 |
| 23.65 | 3.763 | 29 |
| 26.67 | 3.343 | 39 |
| 32.25 | 2.775 | 15 |
| 32.76 | 2.734 | 100 |
| 34.67 | 2.587 | 52 |
| 48.38 | 1.881 | 17 |
| 49.84 | 1.830 | 18 |
| 57.25 | 1.609 | 16 |
| 60.92 | 1.521 | 39 |

Atomic structure:
Lattice parameters (Å, degrees): 8.998 8.998 8.998 146.58 146.58 47.99
Positions (direct):
Ca: 0.171 0.171 0.000
Ca: 0.829 0.829 0.000
Dy: 0.000 0.500 0.500
Dy: 0.500 0.000 0.500
Bi: 0.367 0.367 0.000
Bi: 0.633 0.633 0.000
S: 0.000 0.000 0.000



# 5
# Ce3Pu2
Calculated X-ray powder pattern, a wavelength of 1.5418 Å. Input: a structure optimized by DFT (PBE).
Neutral-atom scattering factors, no anomalous dispersion.

The 10 most intense peaks (15 to 90 degrees two-theta), by angle:
| two_theta | d (Å) | I (rel.) |
| --- | --- | --- |
| 31.46 | 2.844 | 100 |
| 34.83 | 2.576 | 75 |
| 35.06 | 2.559 | 35 |
| 40.34 | 2.236 | 49 |
| 54.16 | 1.694 | 22 |
| 54.50 | 1.684 | 19 |
| 56.92 | 1.618 | 19 |
| 60.34 | 1.534 | 15 |
| 62.76 | 1.480 | 26 |
| 73.98 | 1.281 | 16 |

Atomic structure:
Lattice parameters (Å, degrees): 25.648 3.434 25.764 84.24 7.66 88.11
Positions (direct):
Ce: 0.000 0.000 0.000
Ce: 0.250 0.250 0.250
Ce: 0.405 0.591 0.403
Ce: 0.591 0.405 0.601
Ce: 0.649 0.847 0.659
Ce: 0.847 0.649 0.845
Pu: 0.045 0.450 0.056
Pu: 0.194 0.800 0.205
Pu: 0.450 0.045 0.450
Pu: 0.800 0.194 0.800



# 6
# Mg2Cd3Pd8
Calculated X-ray powder pattern, a wavelength of 1.5418 Å. Input: a structure optimized by DFT (PBE).
Neutral-atom scattering factors, no anomalous dispersion.

The 10 most intense peaks (15 to 90 degrees two-theta), by angle:
| two_theta | d (Å) | I (rel.) |
| --- | --- | --- |
| 18.18 | 4.880 | 30 |
| 28.89 | 3.090 | 39 |
| 33.86 | 2.647 | 31 |
| 38.70 | 2.327 | 39 |
| 39.13 | 2.302 | 87 |
| 39.80 | 2.265 | 100 |
| 41.26 | 2.188 | 74 |
| 44.10 | 2.053 | 32 |
| 64.12 | 1.452 | 38 |
| 71.24 | 1.324 | 35 |

Atomic structure:
Lattice parameters (Å, degrees): 10.227 10.227 10.227 30.00 30.00 30.00
Positions (direct):
Mg: 0.138 0.138 0.138
Mg: 0.862 0.862 0.862
Cd: 0.316 0.316 0.316
Cd: 0.500 0.500 0.500
Cd: 0.684 0.684 0.684
Pd: 0.223 0.223 0.223
Pd: 0.233 0.233 0.730
Pd: 0.233 0.730 0.233
Pd: 0.270 0.767 0.767
Pd: 0.730 0.233 0.233
Pd: 0.767 0.270 0.767
Pd: 0.767 0.767 0.270
Pd: 0.777 0.777 0.777



# 7
# TiCoH4
Calculated X-ray powder pattern, a wavelength of 1.5418 Å. Input: a structure optimized by DFT (PBE).
Neutral-atom scattering factors, no anomalous dispersion.

The 10 most intense peaks (15 to 90 degrees two-theta), by angle:
| two_theta | d (Å) | I (rel.) |
| --- | --- | --- |
| 22.61 | 3.933 | 5 |
| 32.36 | 2.766 | 96 |
| 39.61 | 2.275 | 100 |
| 46.42 | 1.956 | 30 |
| 62.63 | 1.483 | 48 |
| 67.74 | 1.383 | 10 |
| 76.30 | 1.248 | 12 |
| 77.09 | 1.237 | 12 |
| 81.42 | 1.182 | 11 |
| 85.33 | 1.138 | 9 |

Atomic structure:
Lattice parameters (Å, degrees): 4.809 4.809 4.809 109.77 109.77 108.88
Positions (direct):
Ti: 0.000 0.000 0.000
Ti: 0.750 0.250 0.500
Co: 0.231 0.731 0.500
Co: 0.481 0.481 0.000
H: 0.228 0.527 0.701
H: 0.277 0.076 0.799
H: 0.277 0.478 0.201
H: 0.304 0.978 0.327
H: 0.651 0.978 0.673
H: 0.728 0.554 0.827
H: 0.728 0.901 0.173
H: 0.826 0.527 0.299



# 8
# Cs2NpCdCl6
Calculated X-ray powder pattern, a wavelength of 1.5418 Å. Input: a structure optimized by DFT (PBE).
Neutral-atom scattering factors, no anomalous dispersion.

The 10 most intense peaks (15 to 90 degrees two-theta), by angle:
| two_theta | d (Å) | I (rel.) |
| --- | --- | --- |
| 18.71 | 4.742 | 23 |
| 21.32 | 4.167 | 100 |
| 23.01 | 3.865 | 26 |
| 29.82 | 2.996 | 28 |
| 30.83 | 2.900 | 50 |
| 36.73 | 2.447 | 15 |
| 38.59 | 2.333 | 15 |
| 38.80 | 2.321 | 19 |
| 39.43 | 2.285 | 21 |
| 43.43 | 2.084 | 20 |

Atomic structure:
Lattice parameters (Å, degrees): 7.729 11.600 9.484 90.00 90.00 90.00
Positions (direct):
Cs: 0.250 0.025 0.189
Cs: 0.250 0.475 0.189
Cs: 0.750 0.525 0.811
Cs: 0.750 0.975 0.811
Np: 0.250 0.750 0.813
Np: 0.750 0.250 0.187
Cd: 0.250 0.250 0.677
Cd: 0.750 0.750 0.323
Cl: 0.001 0.750 0.625
Cl: 0.013 0.750 0.014
Cl: 0.250 0.523 0.817
Cl: 0.250 0.977 0.817
Cl: 0.487 0.750 0.014
Cl: 0.499 0.750 0.625
Cl: 0.501 0.250 0.375
Cl: 0.513 0.250 0.986
Cl: 0.750 0.023 0.183
Cl: 0.750 0.477 0.183
Cl: 0.987 0.250 0.986
Cl: 0.999 0.250 0.375